Entry 1:
# HS4
Simulated powder diffractogram, copper Kα. Input: a structure optimized by DFT (PBE).
No peak broadening, texture or thermal motion is included.

The 10 most intense peaks (2θ = 5–70°), by intensity:
| index | 2θ (°) | I/Imax |
| --- | --- | --- |
| 2 0 0 | 26.3 | 100 |
| 0 0 2 | 18.3 | 81 |
| 2 0 -2 | 25.9 | 66 |
| 0 1 3 | 36.6 | 41 |
| 1 0 0 | 13.1 | 37 |
| 1 0 -2 | 18.1 | 32 |
| 1 1 -3 | 35.2 | 26 |
| 2 1 -5 | 50.8 | 20 |
| 0 1 5 | 53.1 | 20 |
| 2 1 3 | 51.8 | 19 |

Structural model:
Cell: 7.2833 3.7725 10.4530 Å, 90.00 111.85 90.00°
Space group P2/c (No. 13)
Asymmetric unit:
H: 0.0000 0.2042 0.2500
S: 0.1962 0.2453 0.6333
S: 0.2251 0.1749 0.2511



Entry 2:
# Sc2HS2
Simulated powder diffractogram, copper Kα. Input: a structure optimized by DFT (PBE).
No peak broadening, texture or thermal motion is included.

The 10 most intense peaks (2θ = 5–70°), by intensity:
| index | 2θ (°) | I/Imax |
| --- | --- | --- |
| 2 2 -1 | 32.2 | 100 |
| 2 2 1 | 48.2 | 57 |
| 0 0 2 | 34.9 | 44 |
| 4 0 -2 | 41.6 | 19 |
| 4 0 0 | 55.4 | 15 |
| 0 4 0 | 50.4 | 14 |
| 0 4 2 | 62.7 | 13 |
| 4 4 -2 | 67.3 | 8 |
| 2 0 0 | 26.9 | 7 |
| 3 1 -1 | 34.5 | 6 |

Structural model:
Cell: 8.6926 7.2489 6.7244 Å, 90.00 130.19 90.00°
Space group C2/c (No. 15)
Asymmetric unit:
Sc: 0.0000 0.1248 0.2500
Sc: 0.0000 0.3753 0.7500
H: 0.0000 0.1252 0.7500
S: 0.2158 0.3750 0.2500



Entry 3:
# Sc5HS4
Simulated powder diffractogram, copper Kα. Input: a structure optimized by DFT (PBE).
No peak broadening, texture or thermal motion is included.

The 10 most intense peaks (2θ = 5–70°), by intensity:
| index | 2θ (°) | I/Imax |
| --- | --- | --- |
| 1 0 10 | 35.1 | 100 |
| 1 1 0 | 50.5 | 33 |
| 0 1 20 | 50.4 | 27 |
| 0 2 10 | 63.0 | 15 |
| 0 1 5 | 30.3 | 10 |
| 0 1 17 | 45.2 | 6 |
| 1 0 7 | 31.9 | 5 |
| 0 0 3 | 6.0 | 5 |
| 0 0 30 | 62.7 | 3 |
| 2 0 5 | 60.0 | 3 |

Structural model:
Cell: 3.6132 3.6132 44.4399 Å, 90.00 90.00 120.00°
Space group R-3m (No. 166, hexagonal axes)
Asymmetric unit:
Sc: 0.0000 0.0000 0.0000
Sc: 0.0000 0.0000 0.1955
Sc: 0.0000 0.0000 0.4037
H: 0.0000 0.0000 0.5000
S: 0.0000 0.0000 0.1041
S: 0.0000 0.0000 0.2985



Entry 4:
# Sc2HS
Simulated powder diffractogram, copper Kα. Input: a structure optimized by DFT (PBE).
No peak broadening, texture or thermal motion is included.

The 10 most intense peaks (2θ = 5–70°), by intensity:
| index | 2θ (°) | I/Imax |
| --- | --- | --- |
| 0 1 5 | 38.8 | 100 |
| 1 0 4 | 35.8 | 88 |
| 1 0 1 | 30.3 | 78 |
| 1 1 0 | 53.1 | 51 |
| 1 0 7 | 45.9 | 28 |
| 0 1 2 | 31.5 | 18 |
| 2 0 5 | 67.7 | 17 |
| 0 0 6 | 29.0 | 16 |
| 0 0 9 | 44.2 | 15 |
| 0 1 11 | 63.6 | 13 |

Structural model:
Cell: 3.4483 3.4483 18.4608 Å, 90.00 90.00 120.00°
Space group R3m (No. 160, hexagonal axes)
Asymmetric unit:
Sc: 0.0000 0.0000 0.0000
Sc: 0.0000 0.0000 0.1895
H: 0.0000 0.0000 0.8950
S: 0.0000 0.0000 0.7581